Record 1
For BaSrEuWO6, a crystal structure in Alexandria, relaxed with GGA+U gives the computed X-ray powder pattern in this record (λ = 1.5418 Å (Cu Kα)).

Cell and atoms:
Unit cell a=6.082 b=6.082 c=6.082 alpha=60.00 beta=60.00 gamma=60.00
Atoms (fractional coordinates):
Ba: 0.000 0.000 0.000
Sr: 0.500 0.500 0.500
Eu: 0.750 0.750 0.750
W: 0.250 0.250 0.250
O: 0.021 0.021 0.479
O: 0.021 0.479 0.021
O: 0.021 0.479 0.479
O: 0.479 0.021 0.021
O: 0.479 0.021 0.479
O: 0.479 0.479 0.021

Principal peaks in the range 15 to 90 degrees two-theta, sorted by position:
2theta, d_spacing, intensity
17.86, 4.966, 3
20.65, 4.301, 10
29.37, 3.041, 100
42.02, 2.150, 29
47.26, 1.923, 4
52.09, 1.756, 41
60.93, 1.521, 18
69.06, 1.360, 19
76.77, 1.241, 6
84.25, 1.149, 22


Record 2
For BaSrEuWO6, a crystal structure in Alexandria, relaxed with GGA+U gives the computed X-ray powder pattern in this record (λ = 1.5418 Å (Cu Kα)).

Cell and atoms:
Unit cell a=6.003 b=6.090 c=8.594 alpha=90.00 beta=88.92 gamma=89.64
Atoms (fractional coordinates):
Ba: 0.003 0.001 0.251
Ba: 0.997 0.999 0.749
Sr: 0.468 0.505 0.768
Sr: 0.532 0.495 0.232
Eu: 0.000 0.500 0.500
Eu: 0.500 0.000 0.000
W: 0.000 0.500 0.000
W: 0.500 0.000 0.500
O: 0.023 0.558 0.767
O: 0.188 0.236 0.973
O: 0.238 0.813 0.478
O: 0.284 0.682 0.030
O: 0.307 0.254 0.550
O: 0.490 0.077 0.276
O: 0.510 0.923 0.724
O: 0.693 0.746 0.450
O: 0.716 0.318 0.970
O: 0.762 0.187 0.522
O: 0.812 0.764 0.027
O: 0.977 0.442 0.233

Principal peaks in the range 15 to 90 degrees two-theta, sorted by position:
2theta, d_spacing, intensity
20.69, 4.292, 18
29.27, 3.051, 100
29.33, 3.045, 50
29.68, 3.010, 97
29.77, 3.001, 49
42.11, 2.146, 53
42.42, 2.131, 25
51.89, 1.762, 24
52.11, 1.755, 43
52.35, 1.748, 21